Entry 1:
C2S3: computed powder X-ray diffraction pattern (λ = 1.5418 Å (Cu Kα)), based on a cell relaxed with PBE.

Principal peaks in the range 2θ from 5° to 70°, in order of falling intensity:
3.925 Å, 2θ 22.7, rel. 100, (2 1 -1)
3.763 Å, 2θ 23.6, rel. 99, (2 1 0)
7.271 Å, 2θ 12.2, rel. 79, (0 1 1)
3.547 Å, 2θ 25.1, rel. 66, (2 1 -2)
3.309 Å, 2θ 26.9, rel. 42, (2 2 -1)
2.576 Å, 2θ 34.8, rel. 26, (0 4 1)

Structure:
Unit cell a=8.478 b=10.670 c=10.473 alpha=90.00 beta=108.43 gamma=90.00
Space group P2_1/c (No. 14)
Symmetry-distinct sites (fractional):
1 C 0.119 0.078 0.341 (multiplicity 4)
2 C 0.218 0.511 0.933 (multiplicity 4)
3 C 0.280 0.018 0.568 (multiplicity 4)
4 C 0.374 0.712 0.045 (multiplicity 4)
5 S 0.033 0.063 0.175 (multiplicity 4)
6 S 0.091 0.214 0.425 (multiplicity 4)
7 S 0.233 0.163 0.620 (multiplicity 4)
8 S 0.263 0.659 0.885 (multiplicity 4)
9 S 0.396 0.598 0.172 (multiplicity 4)
10 S 0.451 0.646 0.574 (multiplicity 4)

***

Entry 2:
Al3Ru: computed powder X-ray diffraction pattern (λ = 1.5418 Å (Cu Kα)), based on a cell relaxed with PBE.

Principal peaks in the range 2θ from 5° to 70°, in order of falling intensity:
2.090 Å, 2θ 43.3, rel. 100, (2 0 2)
3.249 Å, 2θ 27.5, rel. 58, (1 0 2)
2.285 Å, 2θ 39.4, rel. 44, (2 0 1)
4.180 Å, 2θ 21.3, rel. 39, (1 0 1)
2.236 Å, 2θ 40.3, rel. 36, (0 0 4)
2.730 Å, 2θ 32.8, rel. 33, (1 1 0)

Structure:
Unit cell a=5.4591 b=5.4591 c=8.9426 alpha=90.00 beta=90.00 gamma=120.00
Space group P6_3/mmc (No. 194)
Symmetry-distinct sites (fractional):
1 Al 0.0000 0.5000 0.0000 (multiplicity 6)
2 Al 0.1635 0.3271 0.2500 (multiplicity 6)
3 Ru 0.0000 0.0000 0.0000 (multiplicity 2)
4 Ru 0.3333 0.6667 0.7500 (multiplicity 2)

***

Entry 3:
MgSbRhO4: computed powder X-ray diffraction pattern (λ = 1.5418 Å (Cu Kα)), based on a cell relaxed with PBE.

Principal peaks in the range 2θ from 5° to 70°, in order of falling intensity:
3.856 Å, 2θ 23.1, rel. 100, (1 0 -1)
3.779 Å, 2θ 23.5, rel. 98, (1 0 1)
2.698 Å, 2θ 33.2, rel. 94, (1 1 0)
2.800 Å, 2θ 32.0, rel. 77, (0 1 1)
1.991 Å, 2θ 45.6, rel. 56, (1 1 -2)
1.970 Å, 2θ 46.1, rel. 42, (1 1 2)

Structure:
Unit cell a=5.050 b=3.193 c=5.831 alpha=90.00 beta=91.17 gamma=90.00
Space group Pm (No. 6)
Symmetry-distinct sites (fractional):
1 Mg 0.000 0.000 0.000 (multiplicity 1)
2 Sb 0.999 0.000 0.500 (multiplicity 1)
3 Rh 0.475 0.500 0.071 (multiplicity 1)
4 O 0.155 0.500 0.845 (multiplicity 1)
5 O 0.286 0.000 0.257 (multiplicity 1)
6 O 0.628 0.000 0.899 (multiplicity 1)
7 O 0.834 0.500 0.288 (multiplicity 1)

***

Entry 4:
BaNdEuNbO6: computed powder X-ray diffraction pattern (λ = 1.5418 Å (Cu Kα)), based on a cell relaxed with PBE.

Principal peaks in the range 2θ from 5° to 70°, in order of falling intensity:
3.062 Å, 2θ 29.2, rel. 100, (2 2 0)
1.768 Å, 2θ 51.7, rel. 41, (4 2 2)
2.165 Å, 2θ 41.7, rel. 30, (4 0 0)
1.531 Å, 2θ 60.5, rel. 19, (4 4 0)
1.369 Å, 2θ 68.5, rel. 18, (6 2 0)
2.500 Å, 2θ 35.9, rel. 3, (2 2 2)

Structure:
Unit cell a=8.661 b=8.661 c=8.661 alpha=90.00 beta=90.00 gamma=90.00
Space group F-43m (No. 216)
Symmetry-distinct sites (fractional):
1 Ba 0.000 0.000 0.000 (multiplicity 4)
2 Nd 0.250 0.250 0.250 (multiplicity 4)
3 Eu 0.000 0.000 0.500 (multiplicity 4)
4 Nb 0.250 0.250 0.750 (multiplicity 4)
5 O 0.017 0.250 0.750 (multiplicity 24)

***

Entry 5:
LaFe2Ge2: computed powder X-ray diffraction pattern (λ = 1.5418 Å (Cu Kα)), based on a cell relaxed with PBE.

Principal peaks in the range 2θ from 5° to 70°, in order of falling intensity:
2.710 Å, 2θ 33.1, rel. 100, (1 0 3)
2.552 Å, 2θ 35.2, rel. 87, (1 1 2)
2.044 Å, 2θ 44.3, rel. 58, (2 0 0)
1.632 Å, 2θ 56.4, rel. 44, (2 1 3)
1.918 Å, 2θ 47.4, rel. 34, (1 0 5)
2.891 Å, 2θ 30.9, rel. 27, (1 1 0)

Structure:
Unit cell a=4.088 b=4.088 c=10.858 alpha=90.00 beta=90.00 gamma=90.00
Space group I4/mmm (No. 139)
Symmetry-distinct sites (fractional):
1 La 0.000 0.000 0.000 (multiplicity 2)
2 Fe 0.000 0.500 0.250 (multiplicity 4)
3 Ge 0.000 0.000 0.374 (multiplicity 4)

***

Entry 6:
NaHCO3: computed powder X-ray diffraction pattern (λ = 1.5418 Å (Cu Kα)), based on a cell relaxed with PBE.

Principal peaks in the range 2θ from 5° to 70°, in order of falling intensity:
2.975 Å, 2θ 30.0, rel. 100, (1 1 -2)
2.631 Å, 2θ 34.1, rel. 61, (1 2 -2)
2.228 Å, 2θ 40.5, rel. 23, (0 2 3)
3.107 Å, 2θ 28.7, rel. 19, (1 1 0)
2.060 Å, 2θ 44.0, rel. 18, (1 3 1)
1.985 Å, 2θ 45.7, rel. 16, (1 0 -4)

Structure:
Unit cell a=3.539 b=9.782 c=8.111 alpha=90.00 beta=112.19 gamma=90.00
Space group P2_1/c (No. 14)
Symmetry-distinct sites (fractional):
1 Na 0.073 0.003 0.286 (multiplicity 4)
2 H 0.183 0.744 0.648 (multiplicity 4)
3 C 0.291 0.239 0.078 (multiplicity 4)
4 O 0.005 0.174 0.940 (multiplicity 4)
5 O 0.317 0.132 0.575 (multiplicity 4)
6 O 0.487 0.662 0.295 (multiplicity 4)